[1]
Diffraction record for Li5Cu3Sb2O10. The powder diffractogram is simulated, not measured: it uses a structure optimized by DFT (GGA-PBE) and Cu Kα.
Kinematic intensities with the Lorentz-polarization factor, no thermal factor.

Structural model:
Unit cell a=5.265 b=5.513 c=7.892 alpha=103.61 beta=104.37 gamma=104.08
Space group P-1 (No. 2)
Asymmetric unit:
Li 0.000 0.000 0.000 [1 per cell]
Li 0.081 0.201 0.693 [2 per cell]
Li 0.276 0.610 0.117 [2 per cell]
Cu 0.208 0.388 0.398 [2 per cell]
Cu 0.500 0.000 0.500 [1 per cell]
Sb 0.391 0.805 0.799 [2 per cell]
O 0.054 0.610 0.841 [2 per cell]
O 0.143 0.832 0.573 [2 per cell]
O 0.287 0.979 0.250 [2 per cell]
O 0.362 0.162 0.949 [2 per cell]
O 0.443 0.469 0.670 [2 per cell]

Largest 10 diffraction maxima, by angle, 2θ = 10–80°:
2theta  I_rel  (hkl)
17.9  100  0 1 -1
18.4  46  1 0 0
20.9  36  1 -1 0
24.4  25  0 1 1
32.1  21  -1 1 2
35.7  44  2 -1 0
36.2  36  0 2 -2
38.2  55  -1 2 1
43.4  81  2 1 -2
59.3  26  0 1 4


[2]
Diffraction record for Li3CuSbO5. The powder diffractogram is simulated, not measured: it uses a structure optimized by DFT (GGA-PBE) and Cu Kα.
Kinematic intensities with the Lorentz-polarization factor, no thermal factor.

Structural model:
Unit cell a=5.202 b=5.463 c=7.837 alpha=104.80 beta=102.89 gamma=103.75
Space group P1 (No. 1)
Asymmetric unit:
Li 0.000 0.000 0.000 [1 per cell]
Li 0.066 0.216 0.725 [1 per cell]
Li 0.193 0.406 0.436 [1 per cell]
Li 0.273 0.597 0.117 [1 per cell]
Li 0.365 0.812 0.822 [1 per cell]
Li 0.552 0.213 0.235 [1 per cell]
Cu 0.481 0.004 0.528 [1 per cell]
Cu 0.782 0.609 0.627 [1 per cell]
Sb 0.663 0.405 0.920 [1 per cell]
Sb 0.882 0.808 0.326 [1 per cell]
O 0.118 0.791 0.563 [1 per cell]
O 0.231 0.998 0.292 [1 per cell]
O 0.335 0.221 0.974 [1 per cell]
O 0.444 0.450 0.693 [1 per cell]
O 0.566 0.589 0.384 [1 per cell]
O 0.641 0.773 0.074 [1 per cell]
O 0.711 0.063 0.786 [1 per cell]
O 0.825 0.146 0.451 [1 per cell]
O 0.920 0.448 0.173 [1 per cell]
O 0.997 0.615 0.866 [1 per cell]

Largest 10 diffraction maxima, by angle, 2θ = 10–80°:
2theta  I_rel  (hkl)
17.9  100  0 1 -1
18.4  93  1 0 0
18.8  24  1 0 -1
21.2  75  1 -1 0
24.7  68  0 1 1
30.3  28  1 1 -2
36.3  37  1 1 1
39.1  70  -1 2 1
43.2  55  1 -1 3
43.9  51  2 1 -2


[3]
Diffraction record for LiCuSbO4. The powder diffractogram is simulated, not measured: it uses a structure optimized by DFT (GGA-PBE) and Cu Kα.
Kinematic intensities with the Lorentz-polarization factor, no thermal factor.

Structural model:
Unit cell a=5.817 b=9.909 c=6.263 alpha=90.00 beta=117.60 gamma=90.00
Space group P2_1 (No. 4)
Asymmetric unit:
Li 0.011 0.000 0.005 [2 per cell]
Li 0.360 0.570 0.725 [2 per cell]
Cu 0.161 0.270 0.821 [2 per cell]
Cu 0.342 0.769 0.180 [2 per cell]
Sb 0.168 0.273 0.336 [2 per cell]
Sb 0.311 0.001 0.619 [2 per cell]
O 0.003 0.132 0.455 [2 per cell]
O 0.003 0.191 0.007 [2 per cell]
O 0.140 0.900 0.788 [2 per cell]
O 0.158 0.891 0.311 [2 per cell]
O 0.329 0.366 0.658 [2 per cell]
O 0.347 0.402 0.210 [2 per cell]
O 0.453 0.129 0.908 [2 per cell]
O 0.454 0.133 0.454 [2 per cell]

Largest 10 diffraction maxima, by angle, 2θ = 10–80°:
2theta  I_rel  (hkl)
17.9  26  0 2 0
18.3  17  0 1 1
19.4  100  1 1 -1
24.9  28  1 2 0
32.2  45  1 3 0
33.5  28  0 1 2
33.9  50  1 2 1
36.0  33  2 1 0
44.6  37  2 3 0
58.8  24  2 5 0


[4]
Diffraction record for Li3Cu4SbO8. The powder diffractogram is simulated, not measured: it uses a structure optimized by DFT (GGA-PBE) and Cu Kα.
Kinematic intensities with the Lorentz-polarization factor, no thermal factor.

Structural model:
Unit cell a=10.908 b=5.908 c=5.836 alpha=90.00 beta=120.55 gamma=90.00
Space group C2/m (No. 12)
Asymmetric unit:
Li 0.000 0.000 0.000 [2 per cell]
Li 0.250 0.250 0.500 [4 per cell]
Cu 0.000 0.000 0.500 [2 per cell]
Cu 0.000 0.500 0.000 [2 per cell]
Cu 0.250 0.250 0.000 [4 per cell]
Sb 0.000 0.500 0.500 [2 per cell]
O 0.022 0.270 0.265 [8 per cell]
O 0.209 0.000 0.741 [4 per cell]
O 0.217 0.500 0.736 [4 per cell]

Largest 10 diffraction maxima, by angle, 2θ = 10–80°:
2theta  I_rel  (hkl)
17.7  48  1 1 0
18.1  100  2 0 -1
35.2  34  0 2 1
35.7  22  0 0 2
35.9  52  2 2 0
36.8  24  4 0 -2
38.3  58  4 0 0
43.6  88  2 2 -2
58.7  31  2 2 2
60.1  33  6 2 -2


[5]
Diffraction record for LiCuSbO4. The powder diffractogram is simulated, not measured: it uses a structure optimized by DFT (GGA-PBE) and Cu Kα.
Kinematic intensities with the Lorentz-polarization factor, no thermal factor.

Structural model:
Unit cell a=6.157 b=6.157 c=8.454 alpha=90.00 beta=90.00 gamma=90.00
Space group P4_322 (No. 95)
Asymmetric unit:
Li 0.000 0.211 0.000 [4 per cell]
Cu 0.249 0.249 0.625 [4 per cell]
Sb 0.227 0.500 0.250 [4 per cell]
O 0.017 0.261 0.255 [8 per cell]
O 0.265 0.471 0.010 [8 per cell]

Largest 10 diffraction maxima, by angle, 2θ = 10–80°:
2theta  I_rel  (hkl)
14.4  45  1 0 0
23.0  85  1 1 1
25.6  45  1 0 2
29.5  31  1 1 2
34.2  100  2 1 1
35.0  53  1 0 3
47.9  20  3 1 1
54.8  38  3 2 1
60.1  22  4 0 0
61.1  44  2 2 4